# 1
Starting from a cell relaxed with GGA-PBE, the powder XRD pattern of SmPuTh2 was calculated for Cu Kα, 1.54184 Å.
Kinematic intensities with the Lorentz-polarization factor, no thermal factor.

Structure:
Lattice parameters (Å, degrees): 11.6539 11.6539 11.6539 17.52 17.52 17.52
Sites, in units of the cell vectors:
Sm 0.0000 0.0000 0.0000
Pu 0.8301 0.8301 0.8301
Th 0.2453 0.2453 0.2453
Th 0.4185 0.4185 0.4185

Top 10 peaks for 10° ≤ 2θ ≤ 90°, low angle first:
Position (°2θ), d [Å], I (rel.)
29.52, 3.026, 33
31.18, 2.868, 43
31.88, 2.807, 100
34.41, 2.607, 66
39.30, 2.293, 28
51.49, 1.775, 34
54.25, 1.691, 26
61.44, 1.509, 39
61.85, 1.500, 16
87.44, 1.115, 14


# 2
Starting from a cell relaxed with GGA-PBE, the powder XRD pattern of SmPu3Tl4 was calculated for Cu Kα, 1.54184 Å.
Kinematic intensities with the Lorentz-polarization factor, no thermal factor.

Structure:
Lattice parameters (Å, degrees): 3.3709 3.3709 19.2166 90.00 90.00 90.00
Sites, in units of the cell vectors:
Sm 0.0000 0.0000 0.0000
Pu 0.0000 0.0000 0.2490
Pu 0.0000 0.0000 0.5000
Pu 0.0000 0.0000 0.7510
Tl 0.5000 0.5000 0.1246
Tl 0.5000 0.5000 0.3745
Tl 0.5000 0.5000 0.6255
Tl 0.5000 0.5000 0.8754

Top 10 peaks for 10° ≤ 2θ ≤ 90°, low angle first:
Position (°2θ), d [Å], I (rel.)
32.45, 2.759, 100
37.44, 2.402, 17
37.74, 2.384, 34
54.21, 1.692, 24
54.44, 1.685, 12
64.41, 1.446, 14
64.82, 1.438, 28
67.94, 1.380, 12
89.23, 1.098, 13
89.60, 1.094, 6


# 3
Starting from a cell relaxed with GGA-PBE, the powder XRD pattern of Sm2Tm12Pu was calculated for Cu Kα, 1.54184 Å.
Kinematic intensities with the Lorentz-polarization factor, no thermal factor.

Structure:
Lattice parameters (Å, degrees): 3.4875 5.5460 23.9383 90.00 94.15 90.00
Sites, in units of the cell vectors:
Sm 0.1394 0.0000 0.2795
Sm 0.8606 0.0000 0.7205
Tm 0.0308 0.5000 0.0663
Tm 0.0639 0.0000 0.1343
Tm 0.2235 0.5000 0.4449
Tm 0.2846 0.0000 0.5728
Tm 0.3346 0.5000 0.6700
Tm 0.4071 0.5000 0.8080
Tm 0.5929 0.5000 0.1920
Tm 0.6654 0.5000 0.3300
Tm 0.7154 0.0000 0.4272
Tm 0.7765 0.5000 0.5551
Tm 0.9361 0.0000 0.8657
Tm 0.9692 0.5000 0.9337
Pu 0.5000 0.0000 0.0000

Top 10 peaks for 10° ≤ 2θ ≤ 90°, low angle first:
Position (°2θ), d [Å], I (rel.)
30.78, 2.905, 92
31.72, 2.821, 100
32.28, 2.773, 78
32.94, 2.719, 41
34.12, 2.628, 44
34.77, 2.580, 53
46.79, 1.941, 31
52.48, 1.744, 20
57.22, 1.610, 19
62.97, 1.476, 23